(1)
Structure and theoretical powder diffractogram of AgSnCl6 (a PBE-relaxed structure; Cu Kα, 1.54184 Å).

a = 6.738 Å, b = 6.738 Å, c = 6.891 Å
α = 102.64°, β = 102.64°, γ = 118.79°
Fractional positions:
Ag (0.000, 0.000, 0.000)
Sn (0.500, 0.500, 0.500)
Cl (0.095, 0.391, 0.244)
Cl (0.295, 0.295, 0.704)
Cl (0.391, 0.095, 0.244)
Cl (0.609, 0.905, 0.756)
Cl (0.705, 0.705, 0.296)
Cl (0.905, 0.609, 0.756)

Top 10 peaks for 15° ≤ 2θ ≤ 90°, in order of rising 2θ:
d/Å  I/Imax
5.799  67
5.197  100
3.500  27
2.905  35
2.742  14
2.732  14
2.662  53
2.119  24
1.967  17
1.960  28


(2)
Structure and theoretical powder diffractogram of Ag2Sn2Cl7 (a PBE-relaxed structure; Cu Kα, 1.54184 Å).

a = 7.090 Å, b = 7.090 Å, c = 7.744 Å
α = 95.02°, β = 95.02°, γ = 104.44°
Fractional positions:
Ag (0.173, 0.827, 0.000)
Ag (0.827, 0.173, 0.000)
Sn (0.234, 0.234, 0.624)
Sn (0.766, 0.766, 0.376)
Cl (0.057, 0.057, 0.239)
Cl (0.128, 0.482, 0.822)
Cl (0.482, 0.128, 0.822)
Cl (0.500, 0.500, 0.500)
Cl (0.518, 0.872, 0.178)
Cl (0.872, 0.518, 0.178)
Cl (0.943, 0.943, 0.761)

Top 10 peaks for 15° ≤ 2θ ≤ 90°, in order of rising 2θ:
d/Å  I/Imax
4.831  87
4.524  100
4.001  46
3.194  22
3.088  23
2.735  45
2.485  76
2.274  20
2.166  25
2.061  22


(3)
Structure and theoretical powder diffractogram of Ag2Sn3Cl8 (a PBE-relaxed structure; Cu Kα, 1.54184 Å).

a = 8.127 Å, b = 8.127 Å, c = 7.269 Å
α = 96.20°, β = 96.20°, γ = 64.12°
Fractional positions:
Ag (0.234, 0.234, 0.264)
Ag (0.766, 0.766, 0.736)
Sn (0.000, 0.000, 0.500)
Sn (0.254, 0.746, 0.000)
Sn (0.746, 0.254, 0.000)
Cl (0.104, 0.653, 0.653)
Cl (0.113, 0.113, 0.865)
Cl (0.347, 0.896, 0.347)
Cl (0.396, 0.396, 0.151)
Cl (0.604, 0.604, 0.849)
Cl (0.653, 0.104, 0.653)
Cl (0.887, 0.887, 0.135)
Cl (0.896, 0.347, 0.347)

Top 10 peaks for 15° ≤ 2θ ≤ 90°, in order of rising 2θ:
d/Å  I/Imax
5.309  28
4.962  100
3.699  50
3.647  34
3.348  70
3.033  78
2.596  66
2.157  29
1.885  33
1.758  28


(4)
Structure and theoretical powder diffractogram of TlAg2SnCl8 (a PBE-relaxed structure; Cu Kα, 1.54184 Å).

a = 6.393 Å, b = 6.532 Å, c = 8.476 Å
α = 95.87°, β = 96.10°, γ = 92.63°
Fractional positions:
Tl (0.000, 0.000, 0.000)
Ag (0.440, 0.445, 0.773)
Ag (0.560, 0.555, 0.227)
Sn (0.000, 0.000, 0.500)
Cl (0.185, 0.809, 0.292)
Cl (0.228, 0.855, 0.711)
Cl (0.257, 0.302, 0.506)
Cl (0.307, 0.327, 0.032)
Cl (0.693, 0.673, 0.968)
Cl (0.743, 0.698, 0.494)
Cl (0.772, 0.145, 0.289)
Cl (0.815, 0.191, 0.708)

Top 10 peaks for 15° ≤ 2θ ≤ 90°, in order of rising 2θ:
d/Å  I/Imax
4.672  100
4.412  66
3.706  29
3.691  36
3.358  19
3.330  26
2.471  19
2.457  22
2.336  41
2.095  17


(5)
Structure and theoretical powder diffractogram of Sr3Ag2Cl8 (a PBE-relaxed structure; Cu Kα, 1.54184 Å).

a = 7.734 Å, b = 7.734 Å, c = 7.691 Å
α = 109.25°, β = 109.25°, γ = 70.61°
Fractional positions:
Sr (0.000, 0.000, 0.000)
Sr (0.259, 0.741, 0.500)
Sr (0.741, 0.259, 0.500)
Ag (0.370, 0.370, 0.908)
Ag (0.630, 0.630, 0.092)
Cl (0.120, 0.120, 0.742)
Cl (0.123, 0.631, 0.750)
Cl (0.369, 0.877, 0.250)
Cl (0.374, 0.374, 0.250)
Cl (0.626, 0.626, 0.750)
Cl (0.631, 0.123, 0.750)
Cl (0.877, 0.369, 0.250)
Cl (0.880, 0.880, 0.258)

Top 10 peaks for 15° ≤ 2θ ≤ 90°, in order of rising 2θ:
d/Å  I/Imax
5.766  52
3.773  100
3.752  42
3.535  27
2.885  46
2.872  22
2.772  24
2.423  24
2.234  40
2.224  55


(6)
Structure and theoretical powder diffractogram of Sr5Ag2Cl12 (a PBE-relaxed structure; Cu Kα, 1.54184 Å).

a = 8.979 Å, b = 8.979 Å, c = 9.561 Å
α = 105.17°, β = 105.17°, γ = 49.25°
Fractional positions:
Sr (0.000, 0.000, 0.000)
Sr (0.309, 0.309, 0.153)
Sr (0.319, 0.319, 0.652)
Sr (0.681, 0.681, 0.348)
Sr (0.691, 0.691, 0.847)
Ag (0.231, 0.769, 0.500)
Ag (0.769, 0.231, 0.500)
Cl (0.023, 0.023, 0.301)
Cl (0.082, 0.561, 0.398)
Cl (0.098, 0.596, 0.933)
Cl (0.404, 0.902, 0.067)
Cl (0.439, 0.918, 0.602)
Cl (0.497, 0.497, 0.285)
Cl (0.503, 0.503, 0.715)
Cl (0.561, 0.082, 0.398)
Cl (0.596, 0.098, 0.933)
Cl (0.902, 0.404, 0.067)
Cl (0.918, 0.439, 0.602)
Cl (0.977, 0.977, 0.699)

Top 10 peaks for 15° ≤ 2θ ≤ 90°, in order of rising 2θ:
d/Å  I/Imax
4.573  20
4.276  93
4.029  87
2.895  100
2.606  56
2.390  51
2.148  31
2.141  35
1.871  25
1.473  20


(7)
Structure and theoretical powder diffractogram of Sr6AgCl12 (a PBE-relaxed structure; Cu Kα, 1.54184 Å).

a = 8.664 Å, b = 8.664 Å, c = 8.664 Å
α = 92.86°, β = 92.86°, γ = 92.86°
Fractional positions:
Sr (0.070, 0.592, 0.763)
Sr (0.237, 0.930, 0.408)
Sr (0.408, 0.237, 0.930)
Sr (0.592, 0.763, 0.070)
Sr (0.763, 0.070, 0.592)
Sr (0.930, 0.408, 0.237)
Ag (0.500, 0.500, 0.500)
Cl (0.042, 0.911, 0.681)
Cl (0.089, 0.319, 0.958)
Cl (0.157, 0.603, 0.422)
Cl (0.319, 0.958, 0.089)
Cl (0.397, 0.578, 0.843)
Cl (0.422, 0.157, 0.603)
Cl (0.578, 0.843, 0.397)
Cl (0.603, 0.422, 0.157)
Cl (0.681, 0.042, 0.911)
Cl (0.843, 0.397, 0.578)
Cl (0.911, 0.681, 0.042)
Cl (0.958, 0.089, 0.319)

Top 10 peaks for 15° ≤ 2θ ≤ 90°, in order of rising 2θ:
d/Å  I/Imax
4.746  62
3.948  100
3.559  20
2.777  24
2.691  67
2.373  59
2.341  15
2.220  18
2.122  29
2.034  16


(8)
Structure and theoretical powder diffractogram of Sr4AgCl (a PBE-relaxed structure; Cu Kα, 1.54184 Å).

a = 7.528 Å, b = 7.528 Å, c = 7.528 Å
α = 60.00°, β = 60.00°, γ = 60.00°
Fractional positions:
Sr (0.124, 0.124, 0.124)
Sr (0.124, 0.124, 0.627)
Sr (0.124, 0.627, 0.124)
Sr (0.627, 0.124, 0.124)
Ag (0.750, 0.750, 0.750)
Cl (0.500, 0.500, 0.500)

Top 10 peaks for 15° ≤ 2θ ≤ 90°, in order of rising 2θ:
d/Å  I/Imax
3.764  21
3.210  100
3.073  47
2.173  9
2.049  36
1.882  32
1.623  13
1.605  20
1.386  22
1.229  12


(9)
Structure and theoretical powder diffractogram of SrAg2Cl8 (a PBE-relaxed structure; Cu Kα, 1.54184 Å).

a = 8.023 Å, b = 8.023 Å, c = 8.023 Å
α = 128.04°, β = 128.04°, γ = 76.55°
Fractional positions:
Sr (0.000, 0.000, 0.000)
Ag (0.250, 0.750, 0.500)
Ag (0.750, 0.250, 0.500)
Cl (0.054, 0.546, 0.841)
Cl (0.213, 0.054, 0.508)
Cl (0.295, 0.454, 0.508)
Cl (0.454, 0.946, 0.159)
Cl (0.546, 0.705, 0.492)
Cl (0.705, 0.213, 0.159)
Cl (0.787, 0.295, 0.841)
Cl (0.946, 0.787, 0.492)

Top 10 peaks for 15° ≤ 2θ ≤ 90°, in order of rising 2θ:
d/Å  I/Imax
4.970  40
3.902  100
3.050  35
2.516  21
2.485  25
2.345  57
2.096  40
1.934  15
1.816  16
1.526  14


(10)
Structure and theoretical powder diffractogram of Sr2Ag3Cl7 (a PBE-relaxed structure; Cu Kα, 1.54184 Å).

a = 13.358 Å, b = 13.358 Å, c = 7.197 Å
α = 90.00°, β = 90.00°, γ = 31.94°
Fractional positions:
Sr (0.141, 0.650, 0.500)
Sr (0.350, 0.859, 0.500)
Sr (0.650, 0.141, 0.000)
Sr (0.859, 0.350, 0.000)
Ag (0.081, 0.505, 0.961)
Ag (0.246, 0.754, 0.041)
Ag (0.495, 0.919, 0.961)
Ag (0.505, 0.081, 0.461)
Ag (0.754, 0.246, 0.541)
Ag (0.919, 0.495, 0.461)
Cl (0.050, 0.236, 0.659)
Cl (0.114, 0.886, 0.374)
Cl (0.166, 0.417, 0.612)
Cl (0.236, 0.050, 0.159)
Cl (0.333, 0.521, 0.847)
Cl (0.417, 0.166, 0.112)
Cl (0.479, 0.667, 0.847)
Cl (0.521, 0.333, 0.347)
Cl (0.583, 0.834, 0.612)
Cl (0.667, 0.479, 0.347)
Cl (0.764, 0.950, 0.659)
Cl (0.834, 0.583, 0.112)
Cl (0.886, 0.114, 0.874)
Cl (0.950, 0.764, 0.159)

Top 10 peaks for 15° ≤ 2θ ≤ 90°, in order of rising 2θ:
d/Å  I/Imax
3.675  27
3.634  100
3.598  26
3.279  26
2.570  41
2.114  37
2.105  15
2.091  15
2.084  30
1.625  17


(11)
Structure and theoretical powder diffractogram of SrAg5Cl12 (a PBE-relaxed structure; Cu Kα, 1.54184 Å).

a = 6.795 Å, b = 6.798 Å, c = 12.462 Å
α = 87.50°, β = 78.87°, γ = 68.77°
Fractional positions:
Sr (0.000, 0.000, 0.000)
Ag (0.165, 0.667, 0.502)
Ag (0.329, 0.328, 0.000)
Ag (0.500, 0.000, 0.500)
Ag (0.671, 0.672, 0.000)
Ag (0.835, 0.333, 0.498)
Cl (0.100, 0.322, 0.872)
Cl (0.158, 0.382, 0.386)
Cl (0.176, 0.954, 0.616)
Cl (0.281, 0.059, 0.128)
Cl (0.403, 0.630, 0.898)
Cl (0.486, 0.714, 0.387)
Cl (0.514, 0.286, 0.613)
Cl (0.597, 0.370, 0.102)
Cl (0.719, 0.941, 0.872)
Cl (0.824, 0.046, 0.384)
Cl (0.842, 0.618, 0.614)
Cl (0.900, 0.678, 0.128)

Top 10 peaks for 15° ≤ 2θ ≤ 90°, in order of rising 2θ:
d/Å  I/Imax
3.778  100
3.501  85
3.299  49
3.051  42
2.987  58
2.701  57
2.686  58
2.502  58
2.487  58
2.111  83


(12)
Structure and theoretical powder diffractogram of Sr4Ag3Cl12 (a PBE-relaxed structure; Cu Kα, 1.54184 Å).

a = 9.244 Å, b = 9.244 Å, c = 9.244 Å
α = 109.47°, β = 109.47°, γ = 109.47°
Fractional positions:
Sr (0.000, 0.000, 0.500)
Sr (0.000, 0.500, 0.000)
Sr (0.500, 0.000, 0.000)
Sr (0.500, 0.500, 0.500)
Ag (0.000, 0.500, 0.500)
Ag (0.500, 0.000, 0.500)
Ag (0.500, 0.500, 0.000)
Cl (0.156, 0.830, 0.326)
Cl (0.170, 0.326, 0.496)
Cl (0.170, 0.674, 0.844)
Cl (0.326, 0.156, 0.830)
Cl (0.326, 0.496, 0.170)
Cl (0.496, 0.170, 0.326)
Cl (0.504, 0.830, 0.674)
Cl (0.674, 0.504, 0.830)
Cl (0.674, 0.844, 0.170)
Cl (0.830, 0.326, 0.156)
Cl (0.830, 0.674, 0.504)
Cl (0.844, 0.170, 0.674)

Top 10 peaks for 15° ≤ 2θ ≤ 90°, in order of rising 2θ:
d/Å  I/Imax
4.358  20
3.774  100
3.375  23
2.669  33
2.516  11
2.179  86
1.887  16
1.688  27
1.426  25
1.258  28